Theoretical XRD peak list of Cd3Ga2Ag8 for copper Kα, from a DFT-relaxed cell (GGA-PBE, Alexandria).
No peak broadening, texture or thermal motion is included.

Structure:
Unit cell a=7.369 b=4.627 c=8.346 alpha=90.00 beta=116.15 gamma=90.00
Atoms (fractional coordinates):
Cd: 0.000 0.000 0.000
Cd: 0.302 0.500 0.000
Cd: 0.698 0.500 0.000
Ga: 0.227 0.000 0.452
Ga: 0.773 0.000 0.548
Ag: 0.131 0.500 0.262
Ag: 0.180 0.000 0.762
Ag: 0.324 0.500 0.646
Ag: 0.419 0.000 0.237
Ag: 0.581 0.000 0.763
Ag: 0.676 0.500 0.354
Ag: 0.820 0.000 0.238
Ag: 0.869 0.500 0.738

Peak list (12 most intense, 5° ≤ 2θ ≤ 70°, low angle first)
2theta	d [Å]	intensity	hkl
26.97	3.306	19	2 0 -2
31.03	2.882	12	2 1 -1
33.31	2.690	11	2 1 0
37.09	2.424	22	3 0 -2
37.79	2.380	49	1 1 -3
38.93	2.314	45	0 2 0
39.45	2.284	100	2 1 1
41.07	2.198	13	0 1 3
45.59	1.990	10	3 1 -3
49.47	1.842	9	4 0 -2
54.86	1.674	14	3 2 -2
68.03	1.378	9	3 0 -6